Structure and computed powder diffractogram of U2SiO10 (a structure optimized by DFT (GGA-PBE); CuKα).

Structural model:
```
data_U2SiO10
_cell_length_a 8.666
_cell_length_b 11.262
_cell_length_c 18.237
_cell_angle_alpha 90.00
_cell_angle_beta 90.00
_cell_angle_gamma 90.00
_space_group_name_H-M_alt 'F d d d'
_space_group_IT_number 70
loop_
_space_group_symop_operation_xyz
'x,y,z'
'-x,-y,-z'
'-x+1/4,-y+1/4,z'
'x+1/4,y+1/4,-z'
'x,-y+1/4,-z+1/4'
'-x,y+1/4,z+1/4'
'-x+1/4,y,-z+1/4'
'x+1/4,-y,z+1/4'
'x,y+1/2,z+1/2'
'-x,-y+1/2,-z+1/2'
'-x+1/4,-y+3/4,z+1/2'
'x+1/4,y+3/4,-z+1/2'
'x,-y+3/4,-z+3/4'
'-x,y+3/4,z+3/4'
'-x+1/4,y+1/2,-z+3/4'
'x+1/4,-y+1/2,z+3/4'
'x+1/2,y,z+1/2'
'-x+1/2,-y,-z+1/2'
'-x+3/4,-y+1/4,z+1/2'
'x+3/4,y+1/4,-z+1/2'
'x+1/2,-y+1/4,-z+3/4'
'-x+1/2,y+1/4,z+3/4'
'-x+3/4,y,-z+3/4'
'x+3/4,-y,z+3/4'
'x+1/2,y+1/2,z'
'-x+1/2,-y+1/2,-z'
'-x+3/4,-y+3/4,z'
'x+3/4,y+3/4,-z'
'x+1/2,-y+3/4,-z+1/4'
'-x+1/2,y+3/4,z+1/4'
'-x+3/4,y+1/2,-z+1/4'
'x+3/4,-y+1/2,z+1/4'
loop_
_atom_site_label
_atom_site_type_symbol
_atom_site_fract_x
_atom_site_fract_y
_atom_site_fract_z
_atom_site_occupancy
U1 U 0.125 0.125 0.301 1
Si1 Si 0.125 0.125 0.125 1
O1 O 0.026 0.045 0.066 1
O2 O 0.045 0.279 0.542 1
O3 O 0.125 0.125 0.406 1
```

Top 10 peaks for 5 to 70 degrees two-theta, low angle first:
| index | d/Å | I/Imax |
| --- | --- | --- |
| 1 1 1 | 6.427 | 874 |
| 0 2 2 | 4.791 | 410 |
| 1 1 3 | 4.552 | 1000 |
| 2 0 2 | 3.914 | 215 |
| 2 2 0 | 3.434 | 754 |
| 1 3 1 | 3.385 | 190 |
| 1 1 5 | 3.221 | 345 |
| 1 3 3 | 2.997 | 246 |
| 0 2 6 | 2.675 | 292 |
| 2 4 6 | 1.864 | 233 |